Starting from DFT lattice parameters and positions (GGA-PBE), the XRD peak list of La2Tb2YTm was calculated for Cu Kα X-rays.
Intensities are scaled so that the largest is 100.

The 10 most intense peaks (15° ≤ 2θ ≤ 90°), sorted by position:
| h k l | Position (°2θ) | I_rel |
| --- | --- | --- |
| 2 0 0 | 25.1 | 15 |
| 2 1 1 | 31.0 | 100 |
| 0 1 3 | 31.3 | 80 |
| 0 2 0 | 31.5 | 40 |
| 2 2 0 | 40.6 | 26 |
| 2 2 2 | 44.8 | 24 |
| 2 2 4 | 55.6 | 25 |
| 0 0 6 | 55.7 | 20 |
| 0 3 3 | 55.9 | 15 |
| 4 2 0 | 61.6 | 35 |

Structural model:
```
12
Lattice="7.0967 0.0000 0.0000 0.0000 5.6866 0.0000 0.0000 0.0000 9.8992" Properties=species:S:1:pos:R:3 pbc="T T T"
La 0.0000 0.0000 0.0000
La 1.7742 2.8433 1.7300
La 3.5483 0.0000 0.0000
La 5.3225 2.8433 8.1692
Tb 1.7742 0.0000 3.3076
Tb 1.7742 2.8433 8.2487
Tb 5.3225 0.0000 6.5916
Tb 5.3225 2.8433 1.6506
Y 0.0000 2.8433 4.9496
Y 3.5483 2.8433 4.9496
Tm 1.7742 0.0000 6.5218
Tm 5.3225 0.0000 3.3775
```